Record 1
For Na2PHO4, a cell relaxed with GGA-PBE gives the calculated PXRD pattern in this record (Cu Kα, 1.54184 Å).
Intensities are scaled so that the largest is 100.

Structure:
```
data_Na2PHO4
_cell_length_a 5.5455
_cell_length_b 6.8979
_cell_length_c 5.5573
_cell_angle_alpha 90.00
_cell_angle_beta 116.56
_cell_angle_gamma 90.00
_symmetry_space_group_name_H-M 'P 1'
_symmetry_Int_Tables_number 1
loop_
_symmetry_equiv_pos_as_xyz
'x,y,z'
loop_
_atom_site_label
_atom_site_type_symbol
_atom_site_fract_x
_atom_site_fract_y
_atom_site_fract_z
Na1 Na 0.0026 0.0000 0.4914
Na2 Na 0.3927 0.2502 0.2786
Na3 Na 0.6073 0.7502 0.7214
Na4 Na 0.9974 0.5000 0.5086
P1 P 0.3347 0.7618 0.1173
P2 P 0.6653 0.2618 0.8827
H1 H 0.0337 0.5195 0.0313
H2 H 0.9663 0.0195 0.9687
O1 O 0.2077 0.9389 0.1933
O2 O 0.2103 0.5701 0.1942
O3 O 0.2432 0.7543 0.8129
O4 O 0.3615 0.2527 0.7034
O5 O 0.6385 0.7527 0.2966
O6 O 0.7568 0.2543 0.1871
O7 O 0.7897 0.0701 0.8058
O8 O 0.7923 0.4389 0.8067
```

Most intense lines, 2θ = 10–90°, sorted by position:
2θ (°)  I_rel
22.07  39
22.82  50
25.83  20
30.63  28
31.59  100
32.30  70
44.98  20
46.62  20

Record 2
For Na2PHO3, a cell relaxed with GGA-PBE gives the calculated PXRD pattern in this record (Cu Kα, 1.54184 Å).
Intensities are scaled so that the largest is 100.

Structure:
```
data_Na2PHO3
_cell_length_a 5.1639
_cell_length_b 7.0845
_cell_length_c 10.8443
_cell_angle_alpha 90.00
_cell_angle_beta 115.95
_cell_angle_gamma 90.00
_symmetry_space_group_name_H-M 'P 1'
_symmetry_Int_Tables_number 1
loop_
_symmetry_equiv_pos_as_xyz
'x,y,z'
loop_
_atom_site_label
_atom_site_type_symbol
_atom_site_fract_x
_atom_site_fract_y
_atom_site_fract_z
Na1 Na 0.0356 0.0574 0.2560
Na2 Na 0.0356 0.4426 0.7560
Na3 Na 0.3867 0.1984 0.6073
Na4 Na 0.3867 0.3016 0.1073
Na5 Na 0.6133 0.6984 0.8927
Na6 Na 0.6133 0.8016 0.3927
Na7 Na 0.9644 0.5574 0.2440
Na8 Na 0.9644 0.9426 0.7440
P1 P 0.2550 0.7414 0.5710
P2 P 0.2550 0.7586 0.0710
P3 P 0.7450 0.2414 0.9290
P4 P 0.7450 0.2586 0.4290
H1 H 0.4138 0.5719 0.5889
H2 H 0.4138 0.9281 0.0889
H3 H 0.5862 0.0719 0.9111
H4 H 0.5862 0.4281 0.4111
O1 O 0.0082 0.1952 0.9032
O2 O 0.0082 0.3048 0.4032
O3 O 0.1711 0.6968 0.9218
O4 O 0.1711 0.8032 0.4218
O5 O 0.4620 0.6209 0.1804
O6 O 0.4620 0.8791 0.6804
O7 O 0.5380 0.1209 0.3196
O8 O 0.5380 0.3791 0.8196
O9 O 0.8289 0.1968 0.5782
O10 O 0.8289 0.3032 0.0782
O11 O 0.9918 0.6952 0.5968
O12 O 0.9918 0.8048 0.0968
```

Most intense lines, 2θ = 10–90°, sorted by position:
2θ (°)  I_rel
22.90  70
25.14  89
31.21  87
32.21  62
34.39  37
34.78  100
37.56  60
45.15  31

Record 3
For Na6P2H2O9, a cell relaxed with GGA-PBE gives the calculated PXRD pattern in this record (Cu Kα, 1.54184 Å).
Intensities are scaled so that the largest is 100.

Structure:
```
data_Na6P2H2O9
_cell_length_a 5.6338
_cell_length_b 5.6338
_cell_length_c 17.0761
_cell_angle_alpha 101.85
_cell_angle_beta 101.85
_cell_angle_gamma 58.04
_symmetry_space_group_name_H-M 'P 1'
_symmetry_Int_Tables_number 1
loop_
_symmetry_equiv_pos_as_xyz
'x,y,z'
loop_
_atom_site_label
_atom_site_type_symbol
_atom_site_fract_x
_atom_site_fract_y
_atom_site_fract_z
Na1 Na 0.0964 0.8803 0.9022
Na2 Na 0.1197 0.9036 0.5978
Na3 Na 0.1811 0.5221 0.2156
Na4 Na 0.2881 0.3417 0.0474
Na5 Na 0.3417 0.2881 0.5474
Na6 Na 0.4779 0.8189 0.2844
Na7 Na 0.5221 0.1811 0.7156
Na8 Na 0.6583 0.7119 0.4526
Na9 Na 0.7119 0.6583 0.9526
Na10 Na 0.8189 0.4779 0.7844
Na11 Na 0.8803 0.0964 0.4022
Na12 Na 0.9036 0.1197 0.0978
P1 P 0.2295 0.4577 0.3868
P2 P 0.4577 0.2295 0.8868
P3 P 0.5423 0.7705 0.1132
P4 P 0.7705 0.5423 0.6132
H1 H 0.0688 0.7650 0.7268
H2 H 0.2350 0.9312 0.7732
H3 H 0.7650 0.0688 0.2268
H4 H 0.9312 0.2350 0.2732
O1 O 0.0317 0.4901 0.6770
O2 O 0.0460 0.9540 0.7500
O3 O 0.1195 0.6649 0.4644
O4 O 0.1462 0.3929 0.9065
O5 O 0.3351 0.8805 0.0356
O6 O 0.3929 0.1462 0.4065
O7 O 0.4304 0.5129 0.3530
O8 O 0.4871 0.5696 0.1470
O9 O 0.4901 0.0317 0.1771
O10 O 0.5099 0.9683 0.8230
O11 O 0.5129 0.4304 0.8530
O12 O 0.5696 0.4871 0.6470
O13 O 0.6071 0.8538 0.5935
O14 O 0.6649 0.1195 0.9644
O15 O 0.8538 0.6071 0.0935
O16 O 0.8805 0.3351 0.5356
O17 O 0.9540 0.0460 0.2500
O18 O 0.9683 0.5099 0.3230
```

Most intense lines, 2θ = 10–90°, sorted by position:
2θ (°)  I_rel
20.04  47
21.41  35
31.81  63
32.48  100
33.23  85
33.38  38
39.56  88
41.30  41

Record 4
For Na2P2H2O7, a cell relaxed with GGA-PBE gives the calculated PXRD pattern in this record (Cu Kα, 1.54184 Å).
Intensities are scaled so that the largest is 100.

Structure:
```
data_Na2P2H2O7
_cell_length_a 15.2347
_cell_length_b 14.3440
_cell_length_c 7.1028
_cell_angle_alpha 83.21
_cell_angle_beta 69.22
_cell_angle_gamma 27.58
_symmetry_space_group_name_H-M 'P 1'
_symmetry_Int_Tables_number 1
loop_
_symmetry_equiv_pos_as_xyz
'x,y,z'
loop_
_atom_site_label
_atom_site_type_symbol
_atom_site_fract_x
_atom_site_fract_y
_atom_site_fract_z
Na1 Na 0.1326 0.2161 0.3347
Na2 Na 0.1834 0.6653 0.7839
Na3 Na 0.2161 0.1326 0.8166
Na4 Na 0.3347 0.8166 0.1326
Na5 Na 0.6653 0.1834 0.8674
Na6 Na 0.7839 0.8674 0.1834
Na7 Na 0.8166 0.3347 0.2161
Na8 Na 0.8674 0.7839 0.6653
P1 P 0.1460 0.7485 0.3181
P2 P 0.2515 0.8540 0.7126
P3 P 0.2874 0.3181 0.7485
P4 P 0.3181 0.2874 0.1460
P5 P 0.6819 0.7126 0.8540
P6 P 0.7126 0.6819 0.2515
P7 P 0.7485 0.1460 0.2874
P8 P 0.8540 0.2515 0.6819
H1 H 0.1968 0.5532 0.1968
H2 H 0.2600 0.2600 0.4900
H3 H 0.4468 0.8032 0.4468
H4 H 0.4900 0.4900 0.2600
H5 H 0.5100 0.5100 0.7400
H6 H 0.5532 0.1968 0.5532
H7 H 0.7400 0.7400 0.5100
H8 H 0.8032 0.4468 0.8032
O1 O 0.0208 0.8116 0.5539
O2 O 0.0285 0.0285 0.7215
O3 O 0.1136 0.5539 0.8116
O4 O 0.1306 0.5335 0.2600
O5 O 0.1884 0.9792 0.8864
O6 O 0.2443 0.2707 0.6682
O7 O 0.2600 0.5759 0.1306
O8 O 0.2707 0.2443 0.3168
O9 O 0.2785 0.2785 0.9715
O10 O 0.3168 0.6682 0.2707
O11 O 0.3318 0.6832 0.7557
O12 O 0.4241 0.7400 0.4665
O13 O 0.4461 0.8864 0.9792
O14 O 0.4665 0.8694 0.4241
O15 O 0.5335 0.1306 0.5759
O16 O 0.5539 0.1136 0.0208
O17 O 0.5759 0.2600 0.5335
O18 O 0.6682 0.3168 0.2443
O19 O 0.6832 0.3318 0.7293
O20 O 0.7215 0.7215 0.0285
O21 O 0.7293 0.7557 0.6832
O22 O 0.7400 0.4241 0.8694
O23 O 0.7557 0.7293 0.3318
O24 O 0.8116 0.0208 0.1136
O25 O 0.8694 0.4665 0.7400
O26 O 0.8864 0.4461 0.1884
O27 O 0.9715 0.9715 0.2785
O28 O 0.9792 0.1884 0.4461
```

Most intense lines, 2θ = 10–90°, sorted by position:
2θ (°)  I_rel
17.48  35
21.68  49
25.60  48
28.82  64
30.20  100
32.23  28
32.51  30
38.89  38

Record 5
For Na2P3HO9, a cell relaxed with GGA-PBE gives the calculated PXRD pattern in this record (Cu Kα, 1.54184 Å).
Intensities are scaled so that the largest is 100.

Structure:
```
data_Na2P3HO9
_cell_length_a 7.1587
_cell_length_b 7.9131
_cell_length_c 7.9727
_cell_angle_alpha 86.58
_cell_angle_beta 63.35
_cell_angle_gamma 77.10
_symmetry_space_group_name_H-M 'P 1'
_symmetry_Int_Tables_number 1
loop_
_symmetry_equiv_pos_as_xyz
'x,y,z'
loop_
_atom_site_label
_atom_site_type_symbol
_atom_site_fract_x
_atom_site_fract_y
_atom_site_fract_z
Na1 Na 0.1582 0.1648 0.3488
Na2 Na 0.3385 0.8517 0.6487
Na3 Na 0.6615 0.1483 0.3513
Na4 Na 0.8418 0.8352 0.6512
P1 P 0.1515 0.7950 0.1580
P2 P 0.3077 0.5489 0.3705
P3 P 0.4426 0.2042 0.8411
P4 P 0.5574 0.7958 0.1589
P5 P 0.6923 0.4511 0.6295
P6 P 0.8485 0.2050 0.8420
H1 H 0.0444 0.2230 0.0024
H2 H 0.9556 0.7770 0.9976
O1 O 0.0087 0.0730 0.6910
O2 O 0.1173 0.7777 0.9835
O3 O 0.1855 0.6045 0.2347
O4 O 0.1894 0.6632 0.5455
O5 O 0.2260 0.2215 0.0088
O6 O 0.3531 0.3562 0.3727
O7 O 0.3884 0.8340 0.0679
O8 O 0.4641 0.3946 0.7624
O9 O 0.4877 0.9296 0.3128
O10 O 0.5123 0.0704 0.6872
O11 O 0.5359 0.6054 0.2376
O12 O 0.6116 0.1660 0.9321
O13 O 0.6469 0.6438 0.6273
O14 O 0.7740 0.7785 0.9912
O15 O 0.8106 0.3368 0.4545
O16 O 0.8145 0.3955 0.7653
O17 O 0.8827 0.2223 0.0165
O18 O 0.9913 0.9270 0.3090
```

Most intense lines, 2θ = 10–90°, sorted by position:
2θ (°)  I_rel
14.08  46
16.19  36
17.35  82
23.09  29
27.10  44
28.10  34
28.39  49
30.44  100

Record 6
For Na2P2HO6, a cell relaxed with GGA-PBE gives the calculated PXRD pattern in this record (Cu Kα, 1.54184 Å).
Intensities are scaled so that the largest is 100.

Structure:
```
data_Na2P2HO6
_cell_length_a 5.9388
_cell_length_b 5.9388
_cell_length_c 5.5264
_cell_angle_alpha 112.79
_cell_angle_beta 112.79
_cell_angle_gamma 50.35
_symmetry_space_group_name_H-M 'P 1'
_symmetry_Int_Tables_number 1
loop_
_symmetry_equiv_pos_as_xyz
'x,y,z'
loop_
_atom_site_label
_atom_site_type_symbol
_atom_site_fract_x
_atom_site_fract_y
_atom_site_fract_z
Na1 Na 0.2041 0.2041 0.1804
Na2 Na 0.7959 0.7959 0.8196
P1 P 0.4802 0.4802 0.7721
P2 P 0.5198 0.5198 0.2279
H1 H 0.0000 0.0000 0.5000
O1 O 0.1898 0.6992 0.2380
O2 O 0.3008 0.8102 0.7620
O3 O 0.3249 0.3249 0.6439
O4 O 0.6751 0.6751 0.3561
O5 O 0.6992 0.1898 0.2380
O6 O 0.8102 0.3008 0.7620
```

Most intense lines, 2θ = 10–90°, sorted by position:
2θ (°)  I_rel
18.26  53
19.81  100
31.20  71
32.55  25
32.85  23
35.96  69
37.61  61
40.74  35

Record 7
For NaPHO3, a cell relaxed with GGA-PBE gives the calculated PXRD pattern in this record (Cu Kα, 1.54184 Å).
Intensities are scaled so that the largest is 100.

Structure:
```
data_NaPHO3
_cell_length_a 6.7574
_cell_length_b 6.7823
_cell_length_c 9.8032
_cell_angle_alpha 82.51
_cell_angle_beta 78.65
_cell_angle_gamma 71.54
_symmetry_space_group_name_H-M 'P 1'
_symmetry_Int_Tables_number 1
loop_
_symmetry_equiv_pos_as_xyz
'x,y,z'
loop_
_atom_site_label
_atom_site_type_symbol
_atom_site_fract_x
_atom_site_fract_y
_atom_site_fract_z
Na1 Na 0.0583 0.2966 0.1389
Na2 Na 0.3578 0.9030 0.3333
Na3 Na 0.6422 0.0970 0.6667
Na4 Na 0.9417 0.7034 0.8611
P1 P 0.2615 0.7291 0.0862
P2 P 0.4786 0.6694 0.7884
P3 P 0.5214 0.3306 0.2116
P4 P 0.7385 0.2709 0.9138
H1 H 0.2038 0.2328 0.7065
H2 H 0.2785 0.7869 0.5627
H3 H 0.7215 0.2131 0.4373
H4 H 0.7962 0.7672 0.2935
O1 O 0.1132 0.6192 0.0615
O2 O 0.1852 0.9364 0.1469
O3 O 0.2755 0.7065 0.7334
O4 O 0.3526 0.2398 0.2897
O5 O 0.4240 0.5839 0.1901
O6 O 0.4311 0.7458 0.9451
O7 O 0.5689 0.2542 0.0549
O8 O 0.5760 0.4161 0.8099
O9 O 0.6474 0.7602 0.7103
O10 O 0.7245 0.2935 0.2666
O11 O 0.8148 0.0636 0.8531
O12 O 0.8868 0.3808 0.9385
```

Most intense lines, 2θ = 10–90°, sorted by position:
2θ (°)  I_rel
14.01  71
16.05  87
16.48  100
18.04  56
18.51  40
25.11  50
27.81  38
36.51  50